Diffraction record for LiCoAsO4. The X-ray powder pattern is theoretical, not measured: it uses a cell relaxed with PBE+U and Cu Kα (λ = 1.5418 Å).
Lines closer than 0.1° are merged.

Atomic structure:
```
data_LiCoAsO4
_chemical_formula_sum 'Li4 Co4 As4 O16'
_cell_length_a 4.9443
_cell_length_b 6.0625
_cell_length_c 10.3857
_cell_angle_alpha 89.69
_cell_angle_beta 89.36
_cell_angle_gamma 89.98
_space_group_name_H-M_alt 'P 1'
_space_group_IT_number 1
loop_
_space_group_symop_operation_xyz
'x,y,z'
loop_
_atom_site_label
_atom_site_fract_x
_atom_site_fract_y
_atom_site_fract_z
Li1 0.0000 0.0000 0.0000
Li2 0.0000 0.4969 0.0005
Li3 0.5040 0.4955 0.5043
Li4 0.5040 0.9983 0.5048
Co1 0.0144 0.7481 0.2776
Co2 0.4865 0.7483 0.7755
Co3 0.5115 0.2471 0.2279
Co4 0.9865 0.2469 0.7276
As1 0.0638 0.2474 0.4122
As2 0.4337 0.2511 0.9044
As3 0.5586 0.7480 0.0966
As4 0.9410 0.7442 0.5966
O1 0.2060 0.2457 0.5640
O2 0.2110 0.7481 0.1016
O3 0.2256 0.0294 0.3340
O4 0.2256 0.4672 0.3343
O5 0.2726 0.0330 0.8281
O6 0.2761 0.4762 0.8320
O7 0.2880 0.7466 0.5999
O8 0.2911 0.2468 0.0565
O9 0.6969 0.7495 0.9427
O10 0.7171 0.5268 0.1725
O11 0.7173 0.9675 0.1728
O12 0.7194 0.2472 0.4114
O13 0.7750 0.9612 0.6730
O14 0.7789 0.5207 0.6693
O15 0.7814 0.2487 0.9018
O16 0.8051 0.7485 0.4433
```

Top 6 peaks for 2θ from 15° to 90°, by angle:
| (hkl) | Position (°2θ) | I (rel.) |
| --- | --- | --- |
| 1 0 1 | 19.8 | 67 |
| 1 0 -1 | 20.0 | 66 |
| 0 2 0 | 29.5 | 100 |
| 1 1 3 | 34.7 | 48 |
| 1 -1 3 | 34.8 | 47 |
| -1 1 3 | 35.0 | 46 |

---

Diffraction record for LiCoAsO4. The X-ray powder pattern is theoretical, not measured: it uses a cell relaxed with PBE+U and Cu Kα (λ = 1.5418 Å).
Lines closer than 0.1° are merged.

Atomic structure:
```
data_LiCoAsO4
_chemical_formula_sum 'Li4 Co4 As4 O16'
_cell_length_a 10.5987
_cell_length_b 6.0496
_cell_length_c 4.9643
_cell_angle_alpha 90.00
_cell_angle_beta 90.00
_cell_angle_gamma 90.00
_space_group_name_H-M_alt 'P n m a'
_space_group_IT_number 62
loop_
_space_group_symop_operation_xyz
'x,y,z'
'-x,-y,-z'
'-x+1/2,-y,z+1/2'
'x+1/2,y,-z+1/2'
'x+1/2,-y+1/2,-z+1/2'
'-x+1/2,y+1/2,z+1/2'
'-x,y+1/2,-z'
'x,-y+1/2,z'
loop_
_atom_site_label
_atom_site_fract_x
_atom_site_fract_y
_atom_site_fract_z
Li1 0.0000 0.0000 0.0000
Co1 0.2228 0.2500 0.4944
As1 0.0955 0.7500 0.4380
O1 0.0527 0.2500 0.7068
O2 0.0959 0.7500 0.7821
O3 0.1719 0.5301 0.2794
```

Top 6 peaks for 2θ from 15° to 90°, by angle:
| (hkl) | Position (°2θ) | I (rel.) |
| --- | --- | --- |
| 1 0 1 | 19.7 | 73 |
| 2 1 0 | 22.3 | 44 |
| 0 2 0 | 29.5 | 52 |
| 3 1 1 | 34.5 | 100 |
| 1 2 1 | 35.8 | 36 |
| 3 3 1 | 55.7 | 25 |

---

Diffraction record for LiCoAsO4. The X-ray powder pattern is theoretical, not measured: it uses a cell relaxed with PBE+U and Cu Kα (λ = 1.5418 Å).
Lines closer than 0.1° are merged.

Atomic structure:
```
data_LiCoAsO4
_chemical_formula_sum 'Li8 Co8 As8 O32'
_cell_length_a 10.0771
_cell_length_b 6.0028
_cell_length_c 10.0770
_cell_angle_alpha 90.00
_cell_angle_beta 109.38
_cell_angle_gamma 90.00
_space_group_name_H-M_alt 'C 1 2/m 1'
_space_group_IT_number 12
loop_
_space_group_symop_operation_xyz
'x,y,z'
'-x,-y,-z'
'-x,y,-z'
'x,-y,z'
'x+1/2,y+1/2,z'
'-x+1/2,-y+1/2,-z'
'-x+1/2,y+1/2,-z'
'x+1/2,-y+1/2,z'
loop_
_atom_site_label
_atom_site_fract_x
_atom_site_fract_y
_atom_site_fract_z
Li1 0.0000 0.0000 0.0000
Li2 0.0000 0.5000 0.5000
Li3 0.2505 0.0000 0.2497
Co1 0.2500 0.2500 0.0000
Co2 0.2500 0.2500 0.5000
As1 0.0653 0.0000 0.6845
As2 0.0652 0.5000 0.1848
O1 0.1187 0.5000 0.8726
O2 0.1195 0.0000 0.3741
O3 0.1227 0.5000 0.3687
O4 0.1243 0.0000 0.8694
O5 0.1236 0.2396 0.6262
O6 0.1236 0.2601 0.1264
```

Top 6 peaks for 2θ from 15° to 90°, by angle:
| (hkl) | Position (°2θ) | I (rel.) |
| --- | --- | --- |
| 1 1 -1 | 18.3 | 59 |
| 3 1 -1 | 30.5 | 66 |
| 2 0 2 | 30.7 | 50 |
| 2 2 0 | 35.4 | 100 |
| 4 0 -2 | 36.2 | 52 |
| 6 2 -2 | 63.5 | 49 |